No. 1
NdAgH: simulated powder X-ray diffraction pattern (CuKα), based on DFT lattice parameters and positions (PBE).
Peak positions follow from Bragg's law for the DFT cell and can differ from measured ones.

Principal peaks in the range 2θ from 15° to 90°, sorted by position:
2theta, d_spacing, intensity, h k l
21.28, 4.175, 28.7, 2 0 0
25.51, 3.492, 84.4, 1 1 0
27.81, 3.208, 25.1, 1 1 -1
30.72, 2.911, 38.1, 2 0 -2
31.54, 2.836, 57.7, 2 0 2
34.04, 2.634, 89.0, 1 1 -2
34.43, 2.605, 43.4, 1 1 2
39.98, 2.255, 100.0, 3 1 0
43.19, 2.095, 36.7, 1 1 3
47.29, 1.922, 25.2, 0 2 0

Cell and atoms:
Cell: 8.353 3.844 7.921 Å, 90.00 91.49 90.00°
Space group C2/m (No. 12)
One atom of each set of equivalent atoms:
Nd (0.160, 0.000, 0.319) (multiplicity 4)
Ag (0.149, 0.000, 0.912) (multiplicity 4)
H (0.157, 0.500, 0.468) (multiplicity 4)



No. 2
PmNiAgH6: simulated powder X-ray diffraction pattern (CuKα), based on DFT lattice parameters and positions (PBE).
Peak positions follow from Bragg's law for the DFT cell and can differ from measured ones.

Principal peaks in the range 2θ from 15° to 90°, sorted by position:
2theta, d_spacing, intensity, h k l
22.21, 4.003, 8.2, 1 0 0
30.31, 2.949, 100.0, 1 0 1
38.97, 2.311, 45.9, 1 1 0
41.41, 2.180, 12.4, 0 0 2
50.15, 1.819, 24.2, 2 0 1
58.17, 1.586, 28.0, 1 1 2
65.27, 1.429, 21.4, 2 1 1
68.70, 1.366, 9.2, 1 0 3
70.58, 1.334, 7.6, 3 0 0
85.27, 1.138, 9.3, 3 0 2

Cell and atoms:
Cell: 4.6224 4.6224 4.3608 Å, 90.00 90.00 120.00°
Space group P-6m2 (No. 187)
One atom of each set of equivalent atoms:
Pm (0.0000, 0.0000, 0.0000) (multiplicity 1)
Ni (0.6667, 0.3333, 0.5000) (multiplicity 1)
Ag (0.3333, 0.6667, 0.5000) (multiplicity 1)
H (0.5223, 0.0446, 0.2342) (multiplicity 6)



No. 3
AgHO: simulated powder X-ray diffraction pattern (CuKα), based on DFT lattice parameters and positions (PBE).
Peak positions follow from Bragg's law for the DFT cell and can differ from measured ones.

Principal peaks in the range 2θ from 15° to 90°, sorted by position:
2theta, d_spacing, intensity, h k l
18.37, 4.829, 25.7, 1 0 0
24.34, 3.656, 100.0, 0 1 1
35.99, 2.496, 26.8, 2 -1 1
37.13, 2.422, 26.1, 1 0 2
37.24, 2.414, 24.5, 2 0 0
45.94, 1.975, 22.5, 1 1 2
49.95, 1.826, 10.8, 1 2 0
52.76, 1.735, 19.7, 2 1 1
60.56, 1.529, 10.4, 3 -2 2
62.95, 1.476, 10.8, 2 0 3

Cell and atoms:
Cell: 5.5757 5.5757 5.5983 Å, 90.00 90.00 120.00°
Space group P3_2 (No. 145)
One atom of each set of equivalent atoms:
Ag (0.1865, 0.3934, 0.0000) (multiplicity 3)
H (0.5500, 0.2250, 0.6216) (multiplicity 3)
O (0.5348, 0.4187, 0.8254) (multiplicity 3)



No. 4
AgHSO4: simulated powder X-ray diffraction pattern (CuKα), based on DFT lattice parameters and positions (PBE).
Peak positions follow from Bragg's law for the DFT cell and can differ from measured ones.

Principal peaks in the range 2θ from 15° to 90°, sorted by position:
2theta, d_spacing, intensity, h k l
22.32, 3.984, 100.0, 1 0 1
26.17, 3.405, 15.4, 1 1 0
36.59, 2.456, 52.8, 1 1 2
37.35, 2.408, 15.7, 2 0 0
42.61, 2.122, 24.2, 1 0 3
43.94, 2.061, 46.5, 2 1 1
45.54, 1.992, 9.9, 2 0 2
57.93, 1.592, 13.1, 1 2 3
65.38, 1.427, 10.4, 2 0 4
66.87, 1.399, 14.8, 3 1 2

Cell and atoms:
Cell: 4.816 4.816 7.090 Å, 90.00 90.00 90.00°
Space group I-4 (No. 82)
One atom of each set of equivalent atoms:
Ag (0.000, 0.000, 0.000) (multiplicity 2)
H (0.000, 0.000, 0.500) (multiplicity 2)
S (0.000, 0.500, 0.750) (multiplicity 2)
O (0.108, 0.265, 0.631) (multiplicity 8)



No. 5
Ag2PHS4: simulated powder X-ray diffraction pattern (CuKα), based on DFT lattice parameters and positions (PBE).
Peak positions follow from Bragg's law for the DFT cell and can differ from measured ones.

Principal peaks in the range 2θ from 15° to 90°, sorted by position:
2theta, d_spacing, intensity, h k l
17.66, 5.022, 66.7, 0 1 0
18.07, 4.910, 100.0, 1 0 0
27.11, 3.289, 63.7, -1 1 1
27.85, 3.204, 77.8, 1 -1 1
28.79, 3.101, 80.1, 1 1 0
29.15, 3.064, 93.8, 1 1 -2
30.55, 2.926, 37.7, 0 1 -2
35.53, 2.527, 53.7, -2 1 1
38.06, 2.365, 38.1, 1 2 -2
47.63, 1.909, 40.2, 2 2 -2

Cell and atoms:
Cell: 5.611 5.662 6.431 Å, 112.42 114.17 94.69°
Space group P1 (No. 1)
One atom of each set of equivalent atoms:
Ag (0.000, 0.000, 0.000) (multiplicity 1)
Ag (0.135, 0.804, 0.440) (multiplicity 1)
P (0.733, 0.236, 0.458) (multiplicity 1)
H (0.545, 0.450, 0.787) (multiplicity 1)
S (0.075, 0.218, 0.731) (multiplicity 1)
S (0.425, 0.888, 0.239) (multiplicity 1)
S (0.605, 0.561, 0.654) (multiplicity 1)
S (0.802, 0.350, 0.216) (multiplicity 1)